No. 1
This entry pairs a crystal structure of MgZn2O4 with its computed PXRD pattern. Radiation: Cu Kα (λ = 1.5418 Å). Structure: DFT lattice parameters and positions (GGA-PBE).

Principal peaks in the range 2θ = 15–90°, sorted by position:
index	d (Å)	two_theta	I_rel
1 1 1	4.890	18.14	78
3 1 1	2.554	35.14	100
2 2 2	2.445	36.76	24
4 0 0	2.117	42.71	59
5 1 1	1.630	56.46	38
4 4 0	1.497	61.98	56
5 3 1	1.432	65.17	13
5 5 3	1.103	88.72	18

Atomic structure:
Unit cell a=8.4692 b=8.4692 c=8.4692 alpha=90.00 beta=90.00 gamma=90.00
Space group Fd-3m (No. 227, origin choice 2)
Unique sites:
Mg1 0.1250 0.1250 0.1250 x8
Zn1 0.0000 0.0000 0.5000 x16
O1 0.0090 0.0090 0.7410 x32

***

No. 2
This entry pairs a crystal structure of MgZn4O4 with its computed PXRD pattern. Radiation: Cu Kα (λ = 1.5418 Å). Structure: DFT lattice parameters and positions (GGA-PBE).

Principal peaks in the range 2θ = 15–90°, sorted by position:
index	d (Å)	two_theta	I_rel
4 0 0	3.603	24.71	35
2 2 0	2.732	32.78	34
4 0 2	2.707	33.09	44
5 1 -1	2.623	34.19	35
2 0 -4	2.575	34.84	100
0 2 2	2.557	35.09	92
2 2 -2	2.489	36.08	74
5 1 1	2.412	37.28	56

Atomic structure:
Unit cell a=14.6945 b=5.9046 c=10.4362 alpha=90.00 beta=101.27 gamma=90.00
Space group Cc (No. 9)
Unique sites:
Mg1 0.0000 0.0247 0.0000 x4
Mg2 0.1912 0.2313 0.8054 x4
Zn1 0.0010 0.2182 0.7353 x4
Zn2 0.0717 0.2538 0.3089 x4
Zn3 0.1427 0.4969 0.5734 x4
Zn4 0.1854 0.0485 0.0684 x4
Zn5 0.2786 0.3302 0.3806 x4
Zn6 0.3350 0.2430 0.1545 x4
Zn7 0.3673 0.2483 0.7005 x4
Zn8 0.3767 0.0529 0.9668 x4
O1 0.0805 0.2447 0.1259 x4
O2 0.0938 0.0658 0.8819 x4
O3 0.1030 0.2013 0.6261 x4
O4 0.1634 0.4776 0.3964 x4
O5 0.2701 0.4779 0.7129 x4
O6 0.2851 0.0125 0.2915 x4
O7 0.3887 0.2833 0.5177 x4
O8 0.4515 0.2529 0.8748 x4

***

No. 3
This entry pairs a crystal structure of Mg3Zn16O16 with its computed PXRD pattern. Radiation: Cu Kα (λ = 1.5418 Å). Structure: DFT lattice parameters and positions (GGA-PBE).

Principal peaks in the range 2θ = 15–90°, sorted by position:
index	d (Å)	two_theta	I_rel
0 2 0	2.954	30.25	38
2 0 0	2.847	31.43	58
2 2 0	2.834	31.56	69
0 0 4	2.771	32.30	48
0 2 2	2.648	33.85	41
2 2 2	2.569	34.92	67
2 0 2	2.544	35.28	100
2 0 -2	2.522	35.60	61

Atomic structure:
Unit cell a=6.4818 b=6.7312 c=11.0988 alpha=87.26 beta=88.20 gamma=61.45
Space group P1 (No. 1)
Unique sites:
Mg1 0.0000 0.0000 0.0000 x1
Mg2 0.0307 0.8966 0.5111 x1
Mg3 0.3418 0.5357 0.7367 x1
Zn1 0.0586 0.2901 0.8593 x1
Zn2 0.0648 0.6020 0.9431 x1
Zn3 0.1158 0.1702 0.3311 x1
Zn4 0.1174 0.5625 0.3587 x1
Zn5 0.2280 0.3339 0.5526 x1
Zn6 0.2796 0.2805 0.0861 x1
Zn7 0.2830 0.9594 0.7194 x1
Zn8 0.2873 0.7811 0.1882 x1
Zn9 0.5661 0.1350 0.8831 x1
Zn10 0.5797 0.6333 0.9260 x1
Zn11 0.5824 0.1495 0.3924 x1
Zn12 0.5963 0.6414 0.4260 x1
Zn13 0.7277 0.3250 0.1676 x1
Zn14 0.7371 0.8297 0.1670 x1
Zn15 0.7503 0.7923 0.6718 x1
Zn16 0.7700 0.2969 0.6442 x1
O1 0.0639 0.7156 0.1049 x1
O2 0.0838 0.6472 0.6238 x1
O3 0.0899 0.1191 0.1399 x1
O4 0.0907 0.1255 0.5789 x1
O5 0.2387 0.7823 0.8650 x1
O6 0.2497 0.8129 0.3663 x1
O7 0.3324 0.2898 0.2634 x1
O8 0.3358 0.2301 0.7417 x1
O9 0.5579 0.6469 0.6103 x1
O10 0.5943 0.6455 0.1068 x1
O11 0.6533 0.1218 0.0647 x1
O12 0.6663 0.3599 0.8190 x1
O13 0.6883 0.0756 0.5644 x1
O14 0.7450 0.8035 0.8556 x1
O15 0.7610 0.3290 0.3470 x1
O16 0.7678 0.8036 0.3467 x1

***

No. 4
This entry pairs a crystal structure of MgOs with its computed PXRD pattern. Radiation: Cu Kα (λ = 1.5418 Å). Structure: DFT lattice parameters and positions (GGA-PBE).

Principal peaks in the range 2θ = 15–90°, sorted by position:
index	d (Å)	two_theta	I_rel
1 0 1	2.764	32.40	40
1 0 2	2.265	39.80	100
1 1 0	2.136	42.32	43
1 1 1	2.039	44.43	27
1 0 3	1.821	50.10	26
2 0 0	1.510	61.39	15
1 1 4	1.336	70.51	17
2 1 2	1.257	75.69	31

Atomic structure:
Unit cell a=3.0206 b=3.0206 c=6.8459 alpha=90.00 beta=90.00 gamma=90.00
Space group P4/nmm (No. 129, origin choice 2)
Unique sites:
Mg1 0.2500 0.2500 0.1451 x2
Os1 0.2500 0.2500 0.6125 x2

***

No. 5
This entry pairs a crystal structure of MgOs with its computed PXRD pattern. Radiation: Cu Kα (λ = 1.5418 Å). Structure: DFT lattice parameters and positions (GGA-PBE).

Principal peaks in the range 2θ = 15–90°, sorted by position:
index	d (Å)	two_theta	I_rel
0 1 0	5.422	16.35	58
0 0 1	4.944	17.94	29
1 0 0	4.604	19.28	41
0 2 1	2.377	37.85	52
2 0 0	2.302	39.13	49
1 0 2	2.178	41.46	79
1 2 1	2.112	42.81	100
2 2 1	1.654	55.57	34

Atomic structure:
Unit cell a=4.6041 b=5.4220 c=4.9438 alpha=90.00 beta=90.00 gamma=90.00
Space group Pmm2 (No. 25)
Unique sites:
Mg1 0.0000 0.0000 0.0000 x1
Mg2 0.0000 0.2630 0.4740 x2
Mg3 0.5000 0.0000 0.6745 x1
Os1 0.0000 0.5000 0.9594 x1
Os2 0.5000 0.2465 0.1815 x2
Os3 0.5000 0.5000 0.6870 x1

***

No. 6
This entry pairs a crystal structure of RbMgTcOs with its computed PXRD pattern. Radiation: Cu Kα (λ = 1.5418 Å). Structure: DFT lattice parameters and positions (GGA-PBE).

Principal peaks in the range 2θ = 15–90°, sorted by position:
index	d (Å)	two_theta	I_rel
1 1 1	3.888	22.87	39
2 2 0	2.381	37.78	100
3 1 1	2.031	44.62	21
4 0 0	1.684	54.50	17
3 3 1	1.545	59.86	9
4 2 2	1.375	68.22	35
4 4 0	1.191	80.71	11
5 3 1	1.138	85.25	7

Atomic structure:
Unit cell a=6.7349 b=6.7349 c=6.7349 alpha=90.00 beta=90.00 gamma=90.00
Space group F-43m (No. 216)
Unique sites:
Rb1 0.0000 0.0000 0.0000 x4
Mg1 0.2500 0.2500 0.7500 x4
Tc1 0.0000 0.0000 0.5000 x4
Os1 0.2500 0.2500 0.2500 x4

***

No. 7
This entry pairs a crystal structure of Sr2MgSi2Os with its computed PXRD pattern. Radiation: Cu Kα (λ = 1.5418 Å). Structure: DFT lattice parameters and positions (GGA-PBE).

Principal peaks in the range 2θ = 15–90°, sorted by position:
index	d (Å)	two_theta	I_rel
1 0 0	4.382	20.26	48
1 0 1	3.747	23.75	91
1 1 1	2.848	31.41	100
1 0 2	2.788	32.11	80
1 1 2	2.352	38.27	84
2 0 0	2.191	41.20	61
2 1 1	1.891	48.11	29
2 1 2	1.723	53.17	38

Atomic structure:
Unit cell a=4.3821 b=4.3821 c=7.2257 alpha=90.00 beta=90.00 gamma=90.00
Space group P-4m2 (No. 115)
Unique sites:
Sr1 0.0000 0.5000 0.1644 x2
Mg1 0.0000 0.0000 0.5000 x1
Si1 0.0000 0.5000 0.6817 x2
Os1 0.5000 0.5000 0.5000 x1

***

No. 8
This entry pairs a crystal structure of Y2MgOs3 with its computed PXRD pattern. Radiation: Cu Kα (λ = 1.5418 Å). Structure: DFT lattice parameters and positions (GGA-PBE).

Principal peaks in the range 2θ = 15–90°, sorted by position:
index	d (Å)	two_theta	I_rel
0 0 2	4.507	19.70	57
1 0 3	2.522	35.60	47
2 0 0	2.320	38.81	21
1 1 2	2.303	39.11	37
2 0 1	2.247	40.13	100
2 0 3	1.836	49.64	20
2 0 5	1.424	65.58	29
2 2 4	1.151	84.09	24

Atomic structure:
Unit cell a=5.3588 b=5.3588 c=9.0133 alpha=90.00 beta=90.00 gamma=120.00
Space group P6_3/mmc (No. 194)
Unique sites:
Y1 0.3333 0.6667 0.0706 x4
Mg1 0.0000 0.0000 0.0000 x2
Os1 0.1695 0.3390 0.7500 x6